Calculated powder diffractogram of CuSn for copper Kα, from DFT lattice parameters and positions (GGA-PBE).

Structure:
```
CuSn
1.0
4.1754 0.0000 0.0000
-2.0877 3.6160 0.0000
0.0000 0.0000 5.0968
Cu Sn
2 2
direct
0.0000 0.0000 0.0000 Cu
0.0000 0.0000 0.5000 Cu
0.3333 0.6667 0.2500 Sn
0.6667 0.3333 0.7500 Sn
```

Principal peaks in the range 2θ from 10° to 90°, in order of rising 2θ:
- 30.31°, I = 100
- 43.34°, I = 62
- 43.44°, I = 57
- 53.80°, I = 21
- 57.03°, I = 5
- 60.18°, I = 15
- 63.04°, I = 18
- 71.46°, I = 18
- 77.02°, I = 8
- 79.57°, I = 29

Calculated powder diffractogram of BaY2F8 for copper Kα, from DFT lattice parameters and positions (GGA-PBE).

Structure:
```
BaY2F8
1.0
3.5402 -5.3237 0.0000
3.5402 5.3237 0.0000
-0.7113 0.0000 4.2753
Ba Y F
1 2 8
direct
0.0000 0.0000 0.0000 Ba
0.3258 0.6742 0.5000 Y
0.6742 0.3258 0.5000 Y
0.0491 0.3274 0.5640 F
0.2578 0.7422 0.0000 F
0.3274 0.0491 0.5640 F
0.3912 0.3912 0.2254 F
0.6088 0.6088 0.7746 F
0.6726 0.9509 0.4360 F
0.7422 0.2578 0.0000 F
0.9509 0.6726 0.4360 F
```

Principal peaks in the range 2θ from 10° to 90°, in order of rising 2θ:
- 24.05°, I = 86
- 25.51°, I = 89
- 26.74°, I = 80
- 27.50°, I = 53
- 28.20°, I = 100
- 39.90°, I = 53
- 41.89°, I = 45
- 42.28°, I = 33
- 45.97°, I = 32
- 46.66°, I = 56